1.
Diffraction record for Li5Co3O8. The powder XRD pattern is calculated, not measured: it uses a PBE+U-relaxed structure and Cu Kα (λ = 1.5418 Å).
Intensities are scaled so that the largest is 100.

```
data_Li5Co3O8
_chemical_formula_sum 'Li5 Co3 O8'
_cell_length_a 5.031
_cell_length_b 5.750
_cell_length_c 5.790
_cell_angle_alpha 60.48
_cell_angle_beta 74.38
_cell_angle_gamma 73.75
_space_group_name_H-M_alt 'P -1'
_space_group_IT_number 2
_space_group_name_Hall '-P 1'
loop_
_atom_site_label
_atom_site_fract_x
_atom_site_fract_y
_atom_site_fract_z
Li1 0.000 0.000 0.000
Li2 0.496 0.756 0.748
Li3 0.497 0.756 0.247
Co1 0.000 0.000 0.500
Co2 0.000 0.500 0.000
Co3 0.000 0.500 0.500
O1 0.217 0.133 0.149
O2 0.220 0.609 0.123
O3 0.222 0.133 0.612
O4 0.238 0.644 0.615
```

The 10 most intense peaks (2θ from 10° to 90°), in order of rising 2θ:
2θ (°), I_rel
17.83, 12
18.60, 100
18.78, 13
36.11, 14
36.47, 15
36.69, 11
43.60, 31
44.25, 29
44.59, 28
64.39, 15


2.
Diffraction record for MgNi2Bi2O6. The powder XRD pattern is calculated, not measured: it uses a PBE+U-relaxed structure and Cu Kα (λ = 1.5418 Å).
Intensities are scaled so that the largest is 100.

```
data_MgNi2Bi2O6
_chemical_formula_sum 'Mg1 Ni2 Bi2 O6'
_cell_length_a 5.602
_cell_length_b 5.602
_cell_length_c 6.334
_cell_angle_alpha 116.20
_cell_angle_beta 90.09
_cell_angle_gamma 119.92
_space_group_name_H-M_alt 'P 1'
_space_group_IT_number 1
_space_group_name_Hall 'P 1'
loop_
_atom_site_label
_atom_site_fract_x
_atom_site_fract_y
_atom_site_fract_z
Mg1 0.000 0.000 0.000
Ni1 0.170 0.338 0.511
Ni2 0.603 0.204 0.808
Bi1 0.357 0.713 0.071
Bi2 0.816 0.631 0.449
O1 0.061 0.435 0.249
O2 0.251 0.188 0.766
O3 0.374 0.187 0.249
O4 0.576 0.826 0.767
O5 0.814 0.874 0.249
O6 0.940 0.512 0.765
```

The 10 most intense peaks (2θ from 10° to 90°), in order of rising 2θ:
2θ (°), I_rel
21.29, 79
28.56, 72
31.94, 100
33.04, 46
43.37, 22
46.50, 38
46.61, 21
54.86, 23
56.91, 29
60.79, 21


3.
Diffraction record for SrMoO4. The powder XRD pattern is calculated, not measured: it uses a PBE+U-relaxed structure and Cu Kα (λ = 1.5418 Å).
Intensities are scaled so that the largest is 100.

```
data_SrMoO4
_chemical_formula_sum 'Sr4 Mo4 O16'
_cell_length_a 5.489
_cell_length_b 5.489
_cell_length_c 12.222
_cell_angle_alpha 90.00
_cell_angle_beta 90.00
_cell_angle_gamma 90.00
_space_group_name_H-M_alt 'I 41/a'
_space_group_IT_number 88
loop_
_space_group_symop_operation_xyz
'x,y,z'
'-x,-y,-z'
'-y+3/4,x+1/4,z+1/4'
'y+3/4,-x+1/4,-z+1/4'
'-x+1/2,-y,z+1/2'
'x+1/2,y,-z+1/2'
'y+3/4,-x+3/4,z+3/4'
'-y+3/4,x+3/4,-z+3/4'
'x+1/2,y+1/2,z+1/2'
'-x+1/2,-y+1/2,-z+1/2'
'-y+1/4,x+3/4,z+3/4'
'y+1/4,-x+3/4,-z+3/4'
'-x,-y+1/2,z'
'x,y+1/2,-z'
'y+1/4,-x+1/4,z+1/4'
'-y+1/4,x+1/4,-z+1/4'
loop_
_atom_site_label
_atom_site_fract_x
_atom_site_fract_y
_atom_site_fract_z
Sr1 0.000 0.250 0.125
Mo1 0.000 0.250 0.625
O1 0.135 0.012 0.707
```

The 10 most intense peaks (2θ from 10° to 90°), in order of rising 2θ:
2θ (°), I_rel
27.22, 100
29.23, 14
32.63, 19
44.37, 30
46.81, 12
50.61, 16
55.00, 25
56.15, 12
70.56, 7
71.40, 13


4.
Diffraction record for LiVPO5. The powder XRD pattern is calculated, not measured: it uses a PBE+U-relaxed structure and Cu Kα (λ = 1.5418 Å).
Intensities are scaled so that the largest is 100.

```
data_LiVPO5
_chemical_formula_sum 'Li4 V4 P4 O20'
_cell_length_a 5.973
_cell_length_b 8.718
_cell_length_c 10.230
_cell_angle_alpha 114.84
_cell_angle_beta 90.17
_cell_angle_gamma 109.85
_space_group_name_H-M_alt 'P 1'
_space_group_IT_number 1
_space_group_name_Hall 'P 1'
loop_
_atom_site_label
_atom_site_fract_x
_atom_site_fract_y
_atom_site_fract_z
Li1 0.000 0.000 0.000
Li2 0.029 0.002 0.499
Li3 0.274 0.551 0.719
Li4 0.307 0.553 0.216
V1 0.364 0.276 0.858
V2 0.400 0.283 0.362
V3 0.904 0.274 0.857
V4 0.939 0.276 0.359
P1 0.503 0.996 0.831
P2 0.518 0.998 0.332
P3 0.784 0.556 0.886
P4 0.802 0.557 0.387
O1 0.074 0.165 0.222
O2 0.114 0.166 0.721
O3 0.190 0.385 0.498
O4 0.228 0.387 0.996
O5 0.333 0.073 0.418
O6 0.336 0.091 0.928
O7 0.390 0.795 0.751
O8 0.435 0.797 0.249
O9 0.521 0.460 0.789
O10 0.539 0.477 0.297
O11 0.556 0.110 0.737
O12 0.581 0.116 0.241
O13 0.722 0.439 0.978
O14 0.750 0.445 0.482
O15 0.766 0.074 0.919
O16 0.781 0.092 0.429
O17 0.869 0.757 0.967
O18 0.914 0.759 0.465
O19 0.969 0.462 0.290
O20 0.970 0.479 0.799
```

The 10 most intense peaks (2θ from 10° to 90°), in order of rising 2θ:
2θ (°), I_rel
12.07, 100
17.67, 37
19.41, 99
23.04, 29
23.52, 21
24.81, 19
32.37, 17
32.92, 11
40.17, 11
40.88, 31


5.
Diffraction record for Li2V3O6. The powder XRD pattern is calculated, not measured: it uses a PBE+U-relaxed structure and Cu Kα (λ = 1.5418 Å).
Intensities are scaled so that the largest is 100.

```
data_Li2V3O6
_chemical_formula_sum 'Li2 V3 O6'
_cell_length_a 5.117
_cell_length_b 5.178
_cell_length_c 5.263
_cell_angle_alpha 99.29
_cell_angle_beta 100.46
_cell_angle_gamma 119.59
_space_group_name_H-M_alt 'P 1'
_space_group_IT_number 1
_space_group_name_Hall 'P 1'
loop_
_atom_site_label
_atom_site_fract_x
_atom_site_fract_y
_atom_site_fract_z
Li1 0.000 0.000 0.000
Li2 0.346 0.659 0.000
V1 0.179 0.826 0.500
V2 0.519 0.495 0.502
V3 0.847 0.164 0.498
O1 0.109 0.415 0.283
O2 0.225 0.231 0.718
O3 0.452 0.084 0.286
O4 0.593 0.896 0.716
O5 0.774 0.772 0.280
O6 0.932 0.571 0.720
```

The 10 most intense peaks (2θ from 10° to 90°), in order of rising 2θ:
2θ (°), I_rel
17.93, 100
35.12, 24
35.74, 11
36.90, 7
42.29, 24
42.43, 24
43.38, 22
61.10, 6
61.77, 12
62.66, 12


6.
Diffraction record for Mg6TiFeO8. The powder XRD pattern is calculated, not measured: it uses a PBE+U-relaxed structure and Cu Kα (λ = 1.5418 Å).
Intensities are scaled so that the largest is 100.

```
data_Mg6TiFeO8
_chemical_formula_sum 'Mg6 Ti1 Fe1 O8'
_cell_length_a 4.301
_cell_length_b 4.301
_cell_length_c 8.613
_cell_angle_alpha 90.00
_cell_angle_beta 90.00
_cell_angle_gamma 90.00
_space_group_name_H-M_alt 'P 4/m m m'
_space_group_IT_number 123
_space_group_name_Hall '-P 4 2'
loop_
_atom_site_label
_atom_site_fract_x
_atom_site_fract_y
_atom_site_fract_z
Mg1 0.000 0.000 0.000
Mg2 0.000 0.500 0.247
Mg3 0.500 0.500 0.000
Ti1 0.000 0.000 0.500
Fe1 0.500 0.500 0.500
O1 0.000 0.000 0.244
O2 0.000 0.500 0.000
O3 0.000 0.500 0.500
O4 0.500 0.500 0.247
```

The 10 most intense peaks (2θ from 10° to 90°), in order of rising 2θ:
2θ (°), I_rel
10.27, 19
20.63, 5
29.37, 4
31.18, 9
36.16, 23
42.00, 100
43.35, 4
60.90, 56
72.92, 12
76.73, 17


7.
Diffraction record for CaFe2P2O9. The powder XRD pattern is calculated, not measured: it uses a PBE+U-relaxed structure and Cu Kα (λ = 1.5418 Å).
Intensities are scaled so that the largest is 100.

```
data_CaFe2P2O9
_chemical_formula_sum 'Ca4 Fe8 P8 O36'
_cell_length_a 14.397
_cell_length_b 6.477
_cell_length_c 7.496
_cell_angle_alpha 90.00
_cell_angle_beta 90.00
_cell_angle_gamma 90.00
_space_group_name_H-M_alt 'P n m a'
_space_group_IT_number 62
_space_group_name_Hall '-P 2ac 2n'
loop_
_atom_site_label
_atom_site_fract_x
_atom_site_fract_y
_atom_site_fract_z
Ca1 0.222 0.250 0.107
Fe1 0.000 0.000 0.000
Fe2 0.119 0.250 0.649
P1 0.066 0.750 0.638
P2 0.192 0.750 0.111
O1 0.009 0.250 0.503
O2 0.019 0.750 0.827
O3 0.055 0.250 0.876
O4 0.131 0.553 0.104
O5 0.133 0.562 0.628
O6 0.234 0.250 0.459
O7 0.249 0.250 0.784
```

The 10 most intense peaks (2θ from 10° to 90°), in order of rising 2θ:
2θ (°), I_rel
13.32, 20
17.08, 36
24.54, 100
27.52, 58
30.26, 26
30.71, 42
33.33, 31
35.52, 19
39.31, 18
56.43, 24


8.
Diffraction record for MgV4O8. The powder XRD pattern is calculated, not measured: it uses a PBE+U-relaxed structure and Cu Kα (λ = 1.5418 Å).
Intensities are scaled so that the largest is 100.

```
data_MgV4O8
_chemical_formula_sum 'Mg1 V4 O8'
_cell_length_a 3.018
_cell_length_b 6.520
_cell_length_c 7.622
_cell_angle_alpha 90.07
_cell_angle_beta 101.34
_cell_angle_gamma 103.34
_space_group_name_H-M_alt 'P 1'
_space_group_IT_number 1
_space_group_name_Hall 'P 1'
loop_
_atom_site_label
_atom_site_fract_x
_atom_site_fract_y
_atom_site_fract_z
Mg1 0.000 0.000 0.000
V1 0.136 0.802 0.472
V2 0.311 0.443 0.179
V3 0.688 0.555 0.827
V4 0.864 0.197 0.534
O1 0.054 0.380 0.734
O2 0.340 0.038 0.645
O3 0.348 0.740 0.959
O4 0.353 0.308 0.402
O5 0.646 0.691 0.604
O6 0.651 0.259 0.046
O7 0.660 0.960 0.362
O8 0.945 0.619 0.272
```

The 10 most intense peaks (2θ from 10° to 90°), in order of rising 2θ:
2θ (°), I_rel
11.86, 49
18.81, 35
27.13, 100
31.20, 55
35.68, 40
36.93, 55
38.17, 34
40.50, 34
48.67, 34
64.88, 40


9.
Diffraction record for LiFe4B4O12. The powder XRD pattern is calculated, not measured: it uses a PBE+U-relaxed structure and Cu Kα (λ = 1.5418 Å).
Intensities are scaled so that the largest is 100.

```
data_LiFe4B4O12
_chemical_formula_sum 'Li2 Fe8 B8 O24'
_cell_length_a 5.222
_cell_length_b 9.222
_cell_length_c 11.331
_cell_angle_alpha 112.88
_cell_angle_beta 102.75
_cell_angle_gamma 90.95
_space_group_name_H-M_alt 'P 1'
_space_group_IT_number 1
_space_group_name_Hall 'P 1'
loop_
_atom_site_label
_atom_site_fract_x
_atom_site_fract_y
_atom_site_fract_z
Li1 0.000 0.000 0.000
Li2 0.214 0.538 0.751
Fe1 0.030 0.680 0.029
Fe2 0.227 0.888 0.773
Fe3 0.268 0.608 0.526
Fe4 0.478 0.468 0.275
Fe5 0.520 0.189 0.024
Fe6 0.730 0.380 0.780
Fe7 0.770 0.103 0.524
Fe8 0.984 0.967 0.272
B1 0.022 0.339 0.023
B2 0.225 0.229 0.777
B3 0.271 0.931 0.522
B4 0.489 0.141 0.271
B5 0.526 0.856 0.027
B6 0.731 0.715 0.778
B7 0.762 0.434 0.532
B8 0.978 0.643 0.279
O1 0.025 0.475 0.555
O2 0.069 0.751 0.236
O3 0.086 0.015 0.473
O4 0.163 0.558 0.329
O5 0.180 0.823 0.566
O6 0.228 0.108 0.256
O7 0.297 0.367 0.075
O8 0.345 0.130 0.832
O9 0.365 0.353 0.772
O10 0.385 0.726 0.013
O11 0.399 0.973 0.989
O12 0.455 0.688 0.726
O13 0.530 0.957 0.530
O14 0.574 0.505 0.471
O15 0.582 0.250 0.227
O16 0.671 0.323 0.574
O17 0.677 0.066 0.329
O18 0.719 0.615 0.271
O19 0.804 0.883 0.073
O20 0.857 0.596 0.811
O21 0.876 0.850 0.801
O22 0.883 0.213 0.024
O23 0.901 0.441 0.970
O24 0.950 0.203 0.726
```

The 10 most intense peaks (2θ from 10° to 90°), in order of rising 2θ:
2θ (°), I_rel
19.68, 94
21.33, 100
21.48, 38
25.94, 37
26.20, 39
26.34, 57
33.59, 28
34.10, 36
34.35, 31
35.49, 90